Starting from a structure optimized by DFT (GGA-PBE), the powder diffraction line list of PuCu2I5 was computed for λ = 1.5418 Å (Cu Kα).
Kinematic intensities with the Lorentz-polarization factor, no thermal factor.

Atomic structure:
Cell: 13.748 8.219 7.599 Å, 90.00 122.39 90.00°
Space group Cm (No. 8)
Symmetry-distinct sites (fractional):
Pu: 0.000 0.000 0.000 [2 per cell]
Cu: 0.368 0.282 0.539 [4 per cell]
I: 0.075 0.270 0.838 [4 per cell]
I: 0.251 0.500 0.601 [2 per cell]
I: 0.264 0.000 0.376 [2 per cell]
I: 0.392 0.500 0.267 [2 per cell]

Top 10 peaks for 10 to 90 degrees two-theta, sorted by position:
| 2θ (°) | Rel. int. | index |
| --- | --- | --- |
| 13.2 | 100.0 | 1 1 0 |
| 14.1 | 80.7 | 2 0 -1 |
| 15.9 | 56.5 | 1 1 -1 |
| 25.6 | 63.5 | 2 0 1 |
| 25.7 | 28.2 | 0 2 1 |
| 25.9 | 42.4 | 2 2 -1 |
| 27.1 | 58.2 | 3 1 -2 |
| 32.1 | 34.7 | 2 2 -2 |
| 35.9 | 33.8 | 4 2 -2 |
| 38.0 | 26.8 | 4 2 0 |

Starting from a structure optimized by DFT (GGA-PBE), the powder diffraction line list of Sm2YHo2Sc was computed for λ = 1.5418 Å (Cu Kα).
Kinematic intensities with the Lorentz-polarization factor, no thermal factor.

Atomic structure:
Cell: 6.410 6.945 8.781 Å, 90.00 104.29 90.00°
Space group P2_1/m (No. 11)
Symmetry-distinct sites (fractional):
Sm: 0.149 0.250 0.350 [2 per cell]
Sm: 0.208 0.750 0.993 [2 per cell]
Y: 0.104 0.750 0.350 [2 per cell]
Ho: 0.398 0.001 0.696 [4 per cell]
Sc: 0.298 0.250 0.998 [2 per cell]

Top 10 peaks for 10 to 90 degrees two-theta, sorted by position:
| 2θ (°) | Rel. int. | index |
| --- | --- | --- |
| 20.1 | 29.1 | 1 1 -1 |
| 29.5 | 96.6 | 1 2 0 |
| 31.2 | 90.6 | 2 0 -2 |
| 31.5 | 100.0 | 0 0 3 |
| 32.5 | 84.1 | 1 2 1 |
| 33.1 | 78.3 | 2 0 1 |
| 33.3 | 48.6 | 0 2 2 |
| 34.2 | 91.9 | 1 2 -2 |
| 46.4 | 30.5 | 1 2 3 |
| 52.8 | 38.7 | 0 4 0 |

Starting from a structure optimized by DFT (GGA-PBE), the powder diffraction line list of MgNiS was computed for λ = 1.5418 Å (Cu Kα).
Kinematic intensities with the Lorentz-polarization factor, no thermal factor.

Atomic structure:
Cell: 6.921 3.620 7.442 Å, 90.00 90.19 90.00°
Space group Cm (No. 8)
Symmetry-distinct sites (fractional):
Mg: 0.000 0.000 0.000 [2 per cell]
Mg: 0.102 0.000 0.499 [2 per cell]
Ni: 0.139 0.500 0.225 [2 per cell]
Ni: 0.465 0.000 0.725 [2 per cell]
S: 0.277 0.500 0.722 [2 per cell]
S: 0.327 0.000 0.223 [2 per cell]

Top 10 peaks for 10 to 90 degrees two-theta, sorted by position:
| 2θ (°) | Rel. int. | index |
| --- | --- | --- |
| 23.9 | 64.1 | 0 0 2 |
| 27.8 | 20.4 | 1 1 0 |
| 28.4 | 32.5 | 2 0 1 |
| 37.0 | 100.0 | 1 1 2 |
| 48.4 | 61.5 | 3 1 -1 |
| 49.0 | 21.3 | 0 0 4 |
| 50.4 | 20.7 | 0 2 0 |
| 54.4 | 11.3 | 4 0 1 |
| 60.6 | 11.2 | 3 1 3 |
| 72.9 | 11.9 | 0 2 4 |